Structure and simulated X-ray powder pattern of Ba2Ho2Co4O11 (a crystal structure in Alexandria, relaxed with PBE+U; Cu Kα X-rays).
No peak broadening, texture or thermal motion is included.

Atomic structure:
Cell: 3.9176 7.6974 7.7936 Å, 90.00 90.00 90.00°
Space group Pmm2 (No. 25)
Symmetry-distinct sites (fractional):
1 Ba 0.0000 0.0000 0.0000 [1 per cell]
2 Ba 0.0000 0.0000 0.4980 [1 per cell]
3 Ho 0.0000 0.5000 0.0203 [1 per cell]
4 Ho 0.0000 0.5000 0.4757 [1 per cell]
5 Co 0.5000 0.2558 0.2504 [2 per cell]
6 Co 0.5000 0.2601 0.7513 [2 per cell]
7 O 0.0000 0.2821 0.2467 [2 per cell]
8 O 0.0000 0.3165 0.7507 [2 per cell]
9 O 0.5000 0.0000 0.2476 [1 per cell]
10 O 0.5000 0.0000 0.7521 [1 per cell]
11 O 0.5000 0.3001 0.5197 [2 per cell]
12 O 0.5000 0.3085 0.9828 [2 per cell]
13 O 0.5000 0.5000 0.2639 [1 per cell]

Peak list (10 most intense, 2θ = 10–80°, in order of rising 2θ)
- 2θ 22.70, 3.918 Å, I 8
- 2θ 32.41, 2.763 Å, I 46
- 2θ 32.66, 2.742 Å, I 100
- 2θ 40.18, 2.244 Å, I 21
- 2θ 46.35, 1.959 Å, I 15
- 2θ 46.62, 1.948 Å, I 13
- 2θ 47.23, 1.924 Å, I 12
- 2θ 57.88, 1.593 Å, I 19
- 2θ 58.05, 1.589 Å, I 17
- 2θ 58.45, 1.579 Å, I 21